Diffraction record for ReTe2Cl12. The X-ray powder pattern is theoretical, not measured: it uses a cell relaxed with GGA-PBE and Cu Ka.
No peak broadening, texture or thermal motion is included.

Peak list (10 most intense, 10° ≤ 2θ ≤ 80°, in order of falling intensity)
Position (°2θ)  I/Imax  h k l
14.15  1000  0 1 1
17.94  560  1 0 1
24.69  367  1 1 -2
26.29  232  -1 1 2
25.29  180  1 -1 0
14.57  176  0 1 0
28.53  172  0 2 2
40.99  166  3 2 1
39.89  156  0 1 5
39.75  153  1 3 0

```
ReTe2Cl12
1.0
6.7679 0.0000 0.0000
3.2691 6.4514 0.0000
0.3122 3.7758 10.6524
Re Te Cl
1 2 12
Direct
0.0000 0.0000 0.0000
0.2598 0.2557 0.7576
0.7402 0.7443 0.2424
0.0111 0.0370 0.8025
0.0277 0.6892 0.4133
0.0546 0.3199 0.1017
0.3940 0.8035 0.0196
0.4295 0.4311 0.7028
0.4816 0.9132 0.6488
0.5184 0.0868 0.3512
0.5705 0.5689 0.2972
0.6060 0.1965 0.9804
0.9454 0.6801 0.8983
0.9723 0.3108 0.5867
0.9889 0.9630 0.1975
```